Computed X-ray diffraction stick pattern
Compound: Ti3Fe2Bi6O18
Radiation: Cu Kα
Structure: a crystal structure in Alexandria, relaxed with PBE+U

```
29
Lattice="2.8649 -2.7831 0.0000 2.8649 2.7831 0.0000 -2.3658 0.0000 24.7926" Properties=species:S:1:pos:R:3 pbc="T T T"
Ti 0.0000 0.0000 0.0000
Ti -0.0029 0.0000 4.0624
Ti 3.0651 0.0000 12.3350
Fe 3.2381 0.0000 16.6074
Fe 3.3795 0.0000 20.7398
Bi -0.4790 0.0000 9.3385
Bi -0.1640 0.0000 14.2942
Bi -0.0005 0.0000 18.3895
Bi 0.1594 0.0000 22.5238
Bi 2.5390 0.0000 2.0814
Bi 2.2588 0.0000 6.8119
O -2.0490 0.0000 22.8694
O 1.7340 1.3393 0.0561
O 0.3438 0.0000 1.9463
O 1.1810 1.3826 8.1520
O 1.6859 1.3471 3.7774
O 0.1909 0.0000 5.8779
O 1.8301 1.4380 12.7187
O 1.9892 1.4722 16.8076
O 2.1162 1.4613 20.9517
O 1.7340 -1.3393 0.0561
O 1.1810 -1.3826 8.1520
O 1.6859 -1.3471 3.7774
O 3.1620 0.0000 10.5870
O 1.8301 -1.4380 12.7187
O 3.4013 0.0000 14.6477
O 1.9892 -1.4722 16.8076
O 3.5523 0.0000 18.7654
O 2.1162 -1.4613 20.9517
```

Largest 10 diffraction maxima, low angle first, 2θ from 10° to 90°:
2θ 21.51, intensity 27; 2θ 22.34, intensity 75; 2θ 29.68, intensity 100; 2θ 30.11, intensity 100; 2θ 31.23, intensity 46; 2θ 32.17, intensity 65; 2θ 39.02, intensity 30; 2θ 45.44, intensity 41; 2θ 50.51, intensity 20; 2θ 55.84, intensity 24